Ba2PrIrO6: computed X-ray diffraction stick pattern (a wavelength of 1.5418 Å), based on a PBE-relaxed structure.
Kinematic intensities with the Lorentz-polarization factor, no thermal factor.

Cell lengths 6.0186, 6.0186, 8.5444 Å; angles 90.00, 90.00, 90.00 degrees
Space group P4/mnc (No. 128)
Unique sites:
Ba: 0.0000 0.5000 0.2500
Pr: 0.0000 0.0000 0.0000
Ir: 0.0000 0.0000 0.5000
O: 0.0000 0.0000 0.2695
O: 0.2092 0.2516 0.5000

The 10 most intense peaks (15° ≤ 2θ ≤ 90°), in order of rising 2θ:
2θ = 29.65°, 3.013 Å, I 100, (2 0 0)
2θ = 42.31°, 2.136 Å, I 9, (0 0 4)
2θ = 42.48°, 2.128 Å, I 18, (2 2 0)
2θ = 52.54°, 1.742 Å, I 14, (2 0 4)
2θ = 52.65°, 1.739 Å, I 27, (3 1 2)
2θ = 61.51°, 1.508 Å, I 12, (2 2 4)
2θ = 69.62°, 1.350 Å, I 6, (1 1 6)
2θ = 69.88°, 1.346 Å, I 12, (4 2 0)
2θ = 85.08°, 1.140 Å, I 7, (3 1 6)
2θ = 85.27°, 1.138 Å, I 15, (4 2 4)

Er14C: computed X-ray diffraction stick pattern (a wavelength of 1.5418 Å), based on a PBE-relaxed structure.
Kinematic intensities with the Lorentz-polarization factor, no thermal factor.

Cell lengths 9.6173, 9.6173, 17.6545 Å; angles 90.00, 90.00, 120.00 degrees
Space group R-3m (No. 166, hexagonal axes)
Unique sites:
Er: 0.0000 0.0000 0.1290
Er: 0.0000 0.3219 0.5000
Er: 0.0699 0.5350 0.3414
C: 0.0000 0.0000 0.0000

The 10 most intense peaks (15° ≤ 2θ ≤ 90°), in order of rising 2θ:
2θ = 28.81°, 3.099 Å, I 37, (2 1 1)
2θ = 29.49°, 3.029 Å, I 24, (0 2 4)
2θ = 30.14°, 2.965 Å, I 13, (1 2 2)
2θ = 30.38°, 2.942 Å, I 33, (0 0 6)
2θ = 32.24°, 2.776 Å, I 16, (3 0 0)
2θ = 35.76°, 2.511 Å, I 100, (3 0 3)
2θ = 40.53°, 2.226 Å, I 12, (2 2 3)
2θ = 46.12°, 1.968 Å, I 10, (2 1 7)
2θ = 57.51°, 1.603 Å, I 27, (3 3 0)
2θ = 66.43°, 1.407 Å, I 18, (3 3 6)

Li3DyZr: computed X-ray diffraction stick pattern (a wavelength of 1.5418 Å), based on a PBE-relaxed structure.
Kinematic intensities with the Lorentz-polarization factor, no thermal factor.

Cell lengths 9.9520, 17.2676, 4.7824 Å; angles 90.00, 90.00, 90.00 degrees
Space group Cmcm (No. 63)
Unique sites:
Li: 0.0000 0.1549 0.2500
Li: 0.2325 0.0774 0.7500
Dy: 0.0000 0.3331 0.2500
Zr: 0.0000 0.0000 0.0000

The 10 most intense peaks (15° ≤ 2θ ≤ 90°), in order of rising 2θ:
2θ = 17.81°, 4.980 Å, I 100, (2 0 0)
2θ = 21.24°, 4.183 Å, I 43, (1 1 1)
2θ = 27.85°, 3.203 Å, I 17, (0 4 1)
2θ = 31.10°, 2.875 Å, I 25, (3 3 0)
2θ = 33.26°, 2.694 Å, I 29, (2 4 1)
2θ = 36.07°, 2.490 Å, I 20, (4 0 0)
2θ = 39.09°, 2.304 Å, I 13, (0 2 2)
2θ = 42.24°, 2.140 Å, I 14, (1 7 1)
2θ = 47.13°, 1.928 Å, I 15, (1 5 2)
2θ = 48.35°, 1.882 Å, I 15, (5 3 0)

LaSmI2BrN: computed X-ray diffraction stick pattern (a wavelength of 1.5418 Å), based on a PBE-relaxed structure.
Kinematic intensities with the Lorentz-polarization factor, no thermal factor.

Cell lengths 19.6747, 4.0852, 12.3272 Å; angles 90.00, 126.05, 90.00 degrees
Space group C2/m (No. 12)
Unique sites:
La: 0.0738 0.0000 0.4604
Sm: 0.1366 0.5000 0.7863
I: 0.0317 0.5000 0.2242
I: 0.2296 0.5000 0.6375
Br: 0.1742 0.0000 0.0033
N: 0.0741 0.0000 0.6531

The 10 most intense peaks (15° ≤ 2θ ≤ 90°), in order of rising 2θ:
2θ = 25.41°, 3.506 Å, I 78, (1 1 1)
2θ = 26.64°, 3.347 Å, I 43, (1 1 -2)
2θ = 29.01°, 3.078 Å, I 37, (4 0 -4)
2θ = 29.32°, 3.046 Å, I 64, (6 0 -1)
2θ = 30.84°, 2.899 Å, I 100, (1 1 2)
2θ = 33.28°, 2.692 Å, I 51, (5 1 -3)
2θ = 37.21°, 2.416 Å, I 38, (6 0 -5)
2θ = 39.08°, 2.305 Å, I 38, (7 1 -3)
2θ = 40.97°, 2.203 Å, I 32, (5 1 1)
2θ = 44.35°, 2.043 Å, I 35, (0 2 0)

CdCoHgAs: computed X-ray diffraction stick pattern (a wavelength of 1.5418 Å), based on a PBE-relaxed structure.
Kinematic intensities with the Lorentz-polarization factor, no thermal factor.

Cell lengths 6.6734, 6.6734, 6.6734 Å; angles 90.00, 90.00, 90.00 degrees
Space group F-43m (No. 216)
Unique sites:
Cd: 0.0000 0.0000 0.0000
Co: 0.2500 0.2500 0.7500
Hg: 0.2500 0.2500 0.2500
As: 0.0000 0.0000 0.5000

The 10 most intense peaks (15° ≤ 2θ ≤ 90°), in order of rising 2θ:
2θ = 23.08°, 3.853 Å, I 23, (1 1 1)
2θ = 26.72°, 3.337 Å, I 3, (2 0 0)
2θ = 38.14°, 2.359 Å, I 100, (2 2 0)
2θ = 45.06°, 2.012 Å, I 13, (3 1 1)
2θ = 55.04°, 1.668 Å, I 17, (4 0 0)
2θ = 60.47°, 1.531 Å, I 6, (3 3 1)
2θ = 68.94°, 1.362 Å, I 34, (4 2 2)
2θ = 73.78°, 1.284 Å, I 4, (5 1 1)
2θ = 81.61°, 1.180 Å, I 11, (4 4 0)
2θ = 86.23°, 1.128 Å, I 5, (5 3 1)

Pr2Al3Ga3: computed X-ray diffraction stick pattern (a wavelength of 1.5418 Å), based on a PBE-relaxed structure.
Kinematic intensities with the Lorentz-polarization factor, no thermal factor.

Cell lengths 6.5392, 4.5502, 6.5679 Å; angles 90.00, 119.46, 90.00 degrees
Space group Pm (No. 6)
Unique sites:
Pr: 0.0000 0.0000 0.0000
Pr: 0.3325 0.5000 0.6753
Al: 0.3873 0.5000 0.2039
Al: 0.5277 0.0000 0.4733
Al: 0.8081 0.5000 0.2031
Ga: 0.5267 0.0000 0.0529
Ga: 0.8049 0.5000 0.6239
Ga: 0.9514 0.0000 0.4735

The 10 most intense peaks (15° ≤ 2θ ≤ 90°), in order of rising 2θ:
2θ = 25.02°, 3.559 Å, I 100, (0 1 1)
2θ = 27.28°, 3.270 Å, I 32, (2 0 -1)
2θ = 31.28°, 2.859 Å, I 21, (0 0 2)
2θ = 31.62°, 2.830 Å, I 20, (2 0 -2)
2θ = 37.13°, 2.421 Å, I 73, (0 1 2)
2θ = 37.26°, 2.413 Å, I 77, (2 1 0)
2θ = 37.42°, 2.403 Å, I 78, (2 1 -2)
2θ = 39.61°, 2.275 Å, I 47, (0 2 0)
2θ = 70.29°, 1.339 Å, I 23, (2 3 0)
2θ = 70.44°, 1.337 Å, I 23, (2 3 -2)